This entry pairs a crystal structure of YMnO3 with its theoretical PXRD pattern. Radiation: Cu Kα (weighted mean of Kα1 and Kα2). Structure: a cell relaxed with PBE+U.
Neutral-atom scattering factors, no anomalous dispersion.

Cell and atoms:
a b c (Å): 5.889 7.496 5.336
angles (deg): 90.00 90.00 90.00
Element x y z (fractional)
Y1 0.083 0.250 0.018
Y2 0.417 0.750 0.518
Y3 0.583 0.250 0.482
Y4 0.917 0.750 0.982
Mn1 0.000 0.000 0.500
Mn2 0.000 0.500 0.500
Mn3 0.500 0.000 0.000
Mn4 0.500 0.500 0.000
O1 0.042 0.750 0.383
O2 0.173 0.556 0.800
O3 0.173 0.944 0.800
O4 0.327 0.056 0.300
O5 0.327 0.444 0.300
O6 0.458 0.250 0.883
O7 0.542 0.750 0.117
O8 0.673 0.556 0.700
O9 0.673 0.944 0.700
O10 0.827 0.056 0.200
O11 0.827 0.444 0.200
O12 0.958 0.250 0.617

Most intense lines, 10° ≤ 2θ ≤ 90°, most intense first:
hkl	d (Å)	I_rel
1 2 1	2.720	100
1 2 3	1.550	30
1 1 1	3.498	28
0 0 2	2.668	24
2 0 0	2.945	21
3 1 1	1.789	19
2 0 2	1.977	18
2 1 2	1.912	17
0 4 0	1.874	16
2 1 0	2.741	13